1.
Starting from a structure optimized by DFT (GGA-PBE), the XRD peak list of DyHo2FeCo6Ni2 was calculated for Cu Kα, 1.54184 Å.
Intensities are scaled so that the largest is 100.

Structure:
abc: 8.5368 8.5368 8.5368
angles: 33.77 33.77 33.77
Sites, in units of the cell vectors:
Dy: 0.0000 0.0000 0.0000
Ho: 0.1391 0.1391 0.1391
Ho: 0.8609 0.8609 0.8609
Fe: 0.5000 0.5000 0.5000
Co: 0.0804 0.5833 0.5833
Co: 0.4167 0.4167 0.9196
Co: 0.4167 0.9196 0.4167
Co: 0.5833 0.0804 0.5833
Co: 0.5833 0.5833 0.0804
Co: 0.9196 0.4167 0.4167
Ni: 0.3336 0.3336 0.3336
Ni: 0.6664 0.6664 0.6664

Largest 10 diffraction maxima, sorted by position, 10 to 90 degrees two-theta:
d (Å)	2θ (°)	I (rel.)
2.688	33.3	52
2.480	36.2	54
2.468	36.4	40
2.139	42.3	38
2.111	42.8	100
1.962	46.3	13
1.469	63.3	16
1.429	65.3	14
1.349	69.7	33
1.240	76.9	20

2.
Starting from a structure optimized by DFT (GGA-PBE), the XRD peak list of Dy2LuFe6Co3 was calculated for Cu Kα, 1.54184 Å.
Intensities are scaled so that the largest is 100.

Structure:
abc: 8.6113 8.6113 8.6113
angles: 33.89 33.89 33.89
Sites, in units of the cell vectors:
Dy: 0.1419 0.1419 0.1419
Dy: 0.8581 0.8581 0.8581
Lu: 0.0000 0.0000 0.0000
Fe: 0.0814 0.5811 0.5811
Fe: 0.4189 0.4189 0.9186
Fe: 0.4189 0.9186 0.4189
Fe: 0.5811 0.0814 0.5811
Fe: 0.5811 0.5811 0.0814
Fe: 0.9186 0.4189 0.4189
Co: 0.3324 0.3324 0.3324
Co: 0.5000 0.5000 0.5000
Co: 0.6676 0.6676 0.6676

Largest 10 diffraction maxima, sorted by position, 10 to 90 degrees two-theta:
d (Å)	2θ (°)	I (rel.)
4.280	20.8	14
2.715	33.0	52
2.510	35.8	57
2.492	36.0	36
2.165	41.7	37
2.134	42.4	100
1.486	62.5	17
1.446	64.5	13
1.365	68.8	23
1.255	75.8	20

3.
Starting from a structure optimized by DFT (GGA-PBE), the XRD peak list of DyLu2Fe2Co7 was calculated for Cu Kα, 1.54184 Å.
Intensities are scaled so that the largest is 100.

Structure:
abc: 8.3940 8.3940 8.3940
angles: 34.67 34.67 34.67
Sites, in units of the cell vectors:
Dy: 0.0000 0.0000 0.0000
Lu: 0.1411 0.1411 0.1411
Lu: 0.8589 0.8589 0.8589
Fe: 0.3350 0.3350 0.3350
Fe: 0.6650 0.6650 0.6650
Co: 0.0785 0.5853 0.5853
Co: 0.4147 0.4147 0.9215
Co: 0.4147 0.9215 0.4147
Co: 0.5000 0.5000 0.5000
Co: 0.5853 0.0785 0.5853
Co: 0.5853 0.5853 0.0785
Co: 0.9215 0.4147 0.4147

Largest 10 diffraction maxima, sorted by position, 10 to 90 degrees two-theta:
d (Å)	2θ (°)	I (rel.)
4.261	20.8	16
2.664	33.6	52
2.501	35.9	60
2.441	36.8	41
2.157	41.9	41
2.112	42.8	100
1.970	46.1	23
1.473	63.1	18
1.356	69.3	23
1.251	76.1	22